For Mg14VFeO16, DFT lattice parameters and positions (GGA+U) gives the theoretical powder XRD pattern in this record (Cu Kα X-rays).
Peak positions follow from Bragg's law for the DFT cell and can differ from measured ones.

Most intense lines, 2θ from 5° to 70°, by angle:
d/Å  Rel. int.
6.050  5.5
4.279  4.4
3.026  3.6
2.470  16.7
2.139  100.0
1.513  56.3

Cell and atoms:
```
Mg14VFeO16
1.0
8.556 0.000 0.000
0.000 8.556 0.000
0.000 0.000 4.280
Mg V Fe O
14 1 1 16
Cartesian
0.000 2.140 0.000
0.000 4.278 2.140
0.000 6.417 0.000
2.128 4.278 0.000
2.140 0.000 0.000
2.139 2.139 2.140
2.139 6.417 2.140
4.278 0.000 2.140
4.278 2.128 0.000
4.278 6.428 0.000
6.417 0.000 0.000
6.417 2.139 2.140
6.417 6.417 2.140
6.428 4.278 0.000
4.278 4.278 2.140
0.000 0.000 2.140
0.000 0.000 0.000
0.000 2.172 2.140
0.000 4.278 0.000
0.000 6.384 2.140
2.099 4.278 2.140
2.139 2.139 0.000
2.139 6.417 0.000
2.172 0.000 2.140
4.278 0.000 0.000
4.278 2.099 2.140
4.278 4.278 0.000
4.278 6.457 2.140
6.384 0.000 2.140
6.417 2.139 0.000
6.417 6.417 0.000
6.457 4.278 2.140
```

For MgNiHO2, DFT lattice parameters and positions (GGA+U) gives the theoretical powder XRD pattern in this record (Cu Kα X-rays).
Peak positions follow from Bragg's law for the DFT cell and can differ from measured ones.

Most intense lines, 2θ from 5° to 70°, by angle:
d/Å  Rel. int.
5.654  46.5
2.850  100.0
2.827  36.5
2.670  81.3
2.347  63.1
2.019  48.5

Cell and atoms:
```
MgNiHO2
1.0
6.068 0.000 0.000
0.000 2.985 0.000
-0.970 0.000 5.654
Mg Ni H O
2 2 2 4
Cartesian
0.000 0.000 0.000
3.034 1.492 0.000
1.386 1.492 2.514
4.419 0.000 2.514
-0.322 1.492 3.679
2.712 0.000 3.679
1.161 1.492 0.643
1.766 0.000 3.991
4.195 0.000 0.643
4.800 1.492 3.991
```

For Li3FePCO7, DFT lattice parameters and positions (GGA+U) gives the theoretical powder XRD pattern in this record (Cu Kα X-rays).
Peak positions follow from Bragg's law for the DFT cell and can differ from measured ones.

Most intense lines, 2θ from 5° to 70°, by angle:
d/Å  Rel. int.
8.576  100.0
4.573  36.0
4.083  79.7
3.482  40.0
3.224  88.3
2.480  40.4

Cell and atoms:
```
Li3FePCO7
1.0
5.024 0.000 0.000
-0.005 6.448 0.000
-1.126 -0.007 8.576
Li Fe P C O
6 2 2 2 14
Cartesian
0.000 0.000 0.000
0.007 3.071 0.128
1.681 6.280 4.967
1.690 3.214 5.095
2.581 2.447 1.911
4.128 5.673 3.176
1.516 4.765 8.253
4.067 1.546 5.410
1.388 1.499 7.659
4.196 4.725 6.006
0.059 1.798 2.909
1.626 5.021 2.178
-0.171 1.476 7.495
0.603 2.138 1.799
0.948 5.062 1.056
0.736 1.845 4.031
1.082 5.365 3.286
0.732 4.699 6.170
2.031 1.516 6.259
1.804 2.754 8.497
1.895 0.293 8.483
2.862 4.600 2.105
3.848 1.375 2.983
3.686 3.519 5.184
3.782 5.980 5.166
3.553 4.745 7.406
```

For TiFe5P6O24, DFT lattice parameters and positions (GGA+U) gives the theoretical powder XRD pattern in this record (Cu Kα X-rays).
Peak positions follow from Bragg's law for the DFT cell and can differ from measured ones.

Most intense lines, 2θ from 5° to 70°, by angle:
d/Å  Rel. int.
4.325  83.4
3.656  100.0
2.683  71.9
2.497  38.4
1.901  28.4
1.828  27.5

Cell and atoms:
```
TiFe5P6O24
1.0
4.325 2.497 6.843
-4.325 2.497 6.843
0.000 -4.994 6.843
Ti Fe P O
1 5 6 24
Cartesian
0.000 0.000 0.000
0.000 0.000 4.325
0.000 0.000 7.312
0.000 0.000 10.339
0.000 0.000 14.633
0.000 0.000 17.567
-3.034 0.288 9.032
-1.270 -2.220 12.485
1.268 -2.771 9.032
-1.288 2.210 12.485
1.766 2.483 9.032
2.558 0.010 12.485
-3.567 1.053 7.792
-0.832 -1.230 5.837
-2.815 -2.417 12.321
-3.378 1.072 10.286
0.872 -3.616 7.792
-1.487 0.147 8.781
-0.649 1.336 5.837
-0.807 -1.517 11.213
0.760 -3.461 10.286
0.616 -1.362 8.781
1.482 -0.106 5.837
-0.903 -1.449 13.739
-0.911 1.457 11.213
-1.531 -0.095 16.041
0.871 1.214 8.781
-0.803 1.507 13.739
1.717 0.060 11.213
-0.685 3.646 12.321
0.848 -1.278 16.041
2.696 2.563 7.792
1.706 -0.058 13.739
3.500 -1.230 12.321
0.683 1.373 16.041
2.617 2.389 10.286
```

For LiVPO4, DFT lattice parameters and positions (GGA+U) gives the theoretical powder XRD pattern in this record (Cu Kα X-rays).
Peak positions follow from Bragg's law for the DFT cell and can differ from measured ones.

Most intense lines, 2θ from 5° to 70°, by angle:
d/Å  Rel. int.
3.736  48.5
3.508  32.0
2.796  41.5
2.591  100.0
2.525  51.4
1.486  38.6

Cell and atoms:
```
LiVPO4
1.0
2.796 -4.246 0.000
2.796 4.246 0.000
0.000 0.000 6.227
Li V P O
2 2 2 8
Cartesian
2.796 2.835 4.671
2.796 -2.835 1.557
2.796 0.000 0.000
2.796 0.000 3.114
2.796 2.997 1.557
2.796 -2.997 4.671
1.251 0.276 4.671
2.796 2.138 0.287
2.796 2.138 2.827
1.251 -0.276 1.557
4.341 0.276 4.671
2.796 -2.138 3.401
2.796 -2.138 5.940
4.341 -0.276 1.557
```

For K5NaV2Mo6O30, DFT lattice parameters and positions (GGA+U) gives the theoretical powder XRD pattern in this record (Cu Kα X-rays).
Peak positions follow from Bragg's law for the DFT cell and can differ from measured ones.

Most intense lines, 2θ from 5° to 70°, by angle:
d/Å  Rel. int.
8.641  98.6
7.466  46.8
6.905  100.0
4.015  39.7
3.265  61.0
3.171  62.1

Cell and atoms:
```
K5NaV2Mo6O30
1.0
7.110 -6.412 0.000
7.110 6.412 0.000
-5.248 0.000 7.589
K Na V Mo O
5 1 2 6 30
Cartesian
0.000 0.000 0.000
2.929 2.512 1.964
2.929 -2.512 1.964
6.041 2.512 5.625
6.041 -2.512 5.625
4.485 0.000 3.794
5.348 0.000 0.089
3.623 0.000 7.500
0.311 0.000 4.162
2.096 2.224 5.897
6.875 2.224 1.692
2.096 -2.224 5.897
6.875 -2.224 1.692
8.660 0.000 3.427
-2.445 1.504 6.563
-1.081 0.000 3.153
1.772 3.927 6.103
0.557 1.836 4.781
-0.793 0.000 6.124
5.788 1.881 0.059
-2.445 -1.504 6.563
1.695 0.000 3.061
7.199 3.927 1.486
3.378 2.096 4.703
4.180 0.000 1.266
5.593 2.096 2.886
0.557 -1.836 4.781
1.959 0.000 6.231
3.183 1.881 7.530
5.788 -1.881 0.059
7.012 0.000 1.357
8.413 1.836 2.808
3.378 -2.096 4.703
4.790 0.000 6.323
5.593 -2.096 2.886
1.772 -3.927 6.103
7.276 0.000 4.528
11.416 1.504 1.025
3.183 -1.881 7.530
9.764 0.000 1.464
8.413 -1.836 2.808
7.199 -3.927 1.486
10.051 0.000 4.436
11.416 -1.504 1.025
```

For La2MgV2O8, DFT lattice parameters and positions (GGA+U) gives the theoretical powder XRD pattern in this record (Cu Kα X-rays).
Peak positions follow from Bragg's law for the DFT cell and can differ from measured ones.

Most intense lines, 2θ from 5° to 70°, by angle:
d/Å  Rel. int.
5.032  17.7
3.853  100.0
2.876  23.0
2.844  53.8
1.967  32.4
1.926  17.1

Cell and atoms:
```
La2MgV2O8
1.0
3.347 -5.392 0.000
3.347 5.392 0.000
-3.279 0.000 5.508
La Mg V O
2 1 2 8
Cartesian
0.000 0.000 0.000
1.707 -2.967 2.754
3.347 2.198 0.000
1.707 2.405 2.754
3.347 -0.547 0.000
0.454 1.537 1.784
0.567 3.266 3.923
-1.032 0.768 4.664
2.848 3.266 1.584
2.075 -1.340 0.949
2.961 1.537 3.723
4.447 0.768 0.844
1.340 -1.340 4.559
```